[1]
This entry pairs a crystal structure of TcHOsAuN with its simulated powder diffraction line list. Radiation: Cu Kα X-rays. Structure: a DFT-relaxed cell (GGA-PBE, Alexandria).

Most intense lines, 2θ from 10° to 90°, in order of falling intensity:
2θ = 39.53°, I 100.0; 2θ = 40.70°, I 75.9; 2θ = 22.11°, I 60.3; 2θ = 40.48°, I 59.7; 2θ = 45.10°, I 33.9; 2θ = 62.19°, I 33.5; 2θ = 33.73°, I 30.1; 2θ = 79.67°, I 22.0; 2θ = 46.60°, I 21.1; 2θ = 32.35°, I 19.6; 2θ = 74.57°, I 17.0; 2θ = 27.82°, I 16.1

Atomic structure:
Cell: 4.021 2.866 10.628 Å, 90.00 90.00 90.00°
Space group Amm2 (No. 38)
Unique sites:
Tc 0.000 0.000 0.000
H 0.000 0.000 0.262
Os 0.500 0.000 0.398
Au 0.500 0.000 0.659
N 0.000 0.000 0.360

---

[2]
This entry pairs a crystal structure of Sm2Er6Zn with its simulated powder diffraction line list. Radiation: Cu Kα X-rays. Structure: a DFT-relaxed cell (GGA-PBE, Alexandria).

Most intense lines, 2θ from 10° to 90°, in order of falling intensity:
2θ = 32.31°, I 100.0; 2θ = 32.66°, I 58.3; 2θ = 33.43°, I 40.8; 2θ = 31.29°, I 19.8; 2θ = 47.16°, I 19.3; 2θ = 59.06°, I 13.0; 2θ = 59.26°, I 10.7; 2θ = 57.77°, I 10.1; 2θ = 38.53°, I 9.6; 2θ = 58.02°, I 8.9; 2θ = 26.29°, I 8.6; 2θ = 51.91°, I 8.1

Atomic structure:
Cell: 9.705 10.138 5.361 Å, 90.00 90.00 90.00°
Space group Pnnm (No. 58)
Unique sites:
Sm 0.191 0.245 0.000
Er 0.018 0.315 0.500
Er 0.134 0.896 0.000
Er 0.188 0.571 0.000
Zn 0.000 0.000 0.500

---

[3]
This entry pairs a crystal structure of Li2CdIO6 with its simulated powder diffraction line list. Radiation: Cu Kα X-rays. Structure: a DFT-relaxed cell (GGA-PBE, Alexandria).

Most intense lines, 2θ from 10° to 90°, in order of falling intensity:
2θ = 22.94°, I 100.0; 2θ = 31.66°, I 43.4; 2θ = 51.45°, I 27.9; 2θ = 33.65°, I 27.1; 2θ = 41.12°, I 18.1; 2θ = 54.14°, I 16.4; 2θ = 46.87°, I 15.9; 2θ = 58.93°, I 15.7; 2θ = 60.17°, I 11.5; 2θ = 55.10°, I 7.6; 2θ = 75.48°, I 7.0; 2θ = 76.29°, I 6.4

Atomic structure:
Cell: 5.3271 5.3271 14.3003 Å, 90.00 90.00 120.00°
Space group R3 (No. 146, hexagonal axes)
Unique sites:
Li 0.0000 0.0000 0.0000
Li 0.0000 0.0000 0.4845
Cd 0.0000 0.0000 0.2093
I 0.0000 0.0000 0.6987
O 0.0096 0.3062 0.7686
O 0.0158 0.7258 0.6164

---

[4]
This entry pairs a crystal structure of Pm2DyY7 with its simulated powder diffraction line list. Radiation: Cu Kα X-rays. Structure: a DFT-relaxed cell (GGA-PBE, Alexandria).

Most intense lines, 2θ from 10° to 90°, in order of falling intensity:
2θ = 30.56°, I 100.0; 2θ = 35.43°, I 50.1; 2θ = 60.60°, I 30.9; 2θ = 50.97°, I 29.3; 2θ = 60.67°, I 10.3; 2θ = 83.13°, I 8.3; 2θ = 85.79°, I 7.8; 2θ = 83.02°, I 6.9; 2θ = 85.70°, I 6.5; 2θ = 63.61°, I 5.9; 2θ = 51.04°, I 5.8; 2θ = 74.95°, I 3.7

Atomic structure:
Cell: 6.198 6.206 9.484 Å, 102.61 109.02 99.59°
Space group P-1 (No. 2)
Unique sites:
Pm 0.101 0.002 0.200
Dy 0.500 0.500 0.500
Y 0.100 0.500 0.699
Y 0.300 0.000 0.599
Y 0.300 0.500 0.101
Y 0.500 0.000 0.000

---

[5]
This entry pairs a crystal structure of HoAuO3 with its simulated powder diffraction line list. Radiation: Cu Kα X-rays. Structure: a DFT-relaxed cell (GGA-PBE, Alexandria).

Most intense lines, 2θ from 10° to 90°, in order of falling intensity:
2θ = 31.99°, I 100.0; 2θ = 29.24°, I 73.4; 2θ = 31.65°, I 49.9; 2θ = 32.13°, I 42.2; 2θ = 23.36°, I 30.1; 2θ = 45.50°, I 29.2; 2θ = 52.75°, I 27.9; 2θ = 39.99°, I 23.6; 2θ = 57.20°, I 19.3; 2θ = 27.18°, I 16.2; 2θ = 56.96°, I 16.0; 2θ = 74.74°, I 14.6

Atomic structure:
Cell: 3.807 12.940 5.571 Å, 90.00 90.00 90.00°
Space group Pbcm (No. 57)
Unique sites:
Ho 0.239 0.074 0.250
Au 0.440 0.669 0.750
O 0.243 0.574 0.002
O 0.293 0.250 0.000

---

[6]
This entry pairs a crystal structure of BaSr4Ag2 with its simulated powder diffraction line list. Radiation: Cu Kα X-rays. Structure: a DFT-relaxed cell (GGA-PBE, Alexandria).

Most intense lines, 2θ from 10° to 90°, in order of falling intensity:
2θ = 30.64°, I 100.0; 2θ = 32.35°, I 68.2; 2θ = 28.81°, I 57.3; 2θ = 25.95°, I 53.1; 2θ = 26.10°, I 48.6; 2θ = 24.06°, I 47.5; 2θ = 26.70°, I 40.6; 2θ = 26.90°, I 40.3; 2θ = 49.27°, I 39.4; 2θ = 27.81°, I 39.3; 2θ = 32.57°, I 34.7; 2θ = 31.30°, I 32.3

Atomic structure:
Cell: 9.038 7.398 9.628 Å, 90.00 112.68 90.00°
Space group P2_1/m (No. 11)
Unique sites:
Ba 0.002 0.250 0.158
Sr 0.241 0.501 0.582
Sr 0.339 0.750 0.263
Sr 0.388 0.250 0.019
Ag 0.017 0.250 0.723
Ag 0.412 0.250 0.376

---

[7]
This entry pairs a crystal structure of USiS3 with its simulated powder diffraction line list. Radiation: Cu Kα X-rays. Structure: a DFT-relaxed cell (GGA-PBE, Alexandria).

Most intense lines, 2θ from 10° to 90°, in order of falling intensity:
2θ = 16.17°, I 100.0; 2θ = 27.29°, I 80.6; 2θ = 33.54°, I 63.9; 2θ = 39.62°, I 50.4; 2θ = 20.54°, I 40.6; 2θ = 25.14°, I 21.8; 2θ = 54.60°, I 20.2; 2θ = 45.63°, I 19.8; 2θ = 40.40°, I 18.9; 2θ = 47.65°, I 18.9; 2θ = 21.84°, I 15.9; 2θ = 44.52°, I 11.8

Atomic structure:
Cell: 7.085 8.650 8.140 Å, 90.00 90.00 90.00°
Space group Ima2 (No. 46)
Unique sites:
U 0.250 0.226 0.000
Si 0.250 0.584 0.730
S 0.003 0.742 0.244
S 0.250 0.520 0.987

---

[8]
This entry pairs a crystal structure of Ba2CuAsP with its simulated powder diffraction line list. Radiation: Cu Kα X-rays. Structure: a DFT-relaxed cell (GGA-PBE, Alexandria).

Most intense lines, 2θ from 10° to 90°, in order of falling intensity:
2θ = 31.58°, I 100.0; 2θ = 29.97°, I 49.9; 2θ = 40.11°, I 38.3; 2θ = 24.21°, I 23.2; 2θ = 43.80°, I 22.1; 2θ = 23.73°, I 20.8; 2θ = 58.37°, I 20.0; 2θ = 22.13°, I 18.5; 2θ = 53.98°, I 18.5; 2θ = 40.57°, I 16.1; 2θ = 32.18°, I 15.3; 2θ = 49.81°, I 14.3

Atomic structure:
Cell: 4.134 8.894 8.035 Å, 90.00 90.00 90.00°
Space group Pmmn (No. 59, origin choice 2)
Unique sites:
Ba 0.250 0.024 0.247
Cu 0.250 0.250 0.600
As 0.250 0.250 0.898
P 0.250 0.750 0.538

---

[9]
This entry pairs a crystal structure of Pm2U2Pt15 with its simulated powder diffraction line list. Radiation: Cu Kα X-rays. Structure: a DFT-relaxed cell (GGA-PBE, Alexandria).

Most intense lines, 2θ from 10° to 90°, in order of falling intensity:
2θ = 38.68°, I 100.0; 2θ = 43.47°, I 53.2; 2θ = 43.60°, I 24.6; 2θ = 33.30°, I 22.4; 2θ = 69.94°, I 19.9; 2θ = 38.84°, I 19.5; 2θ = 63.13°, I 15.3; 2θ = 86.10°, I 14.4; 2θ = 66.69°, I 13.8; 2θ = 82.99°, I 12.3; 2θ = 73.53°, I 11.3; 2θ = 70.23°, I 10.6

Atomic structure:
Cell: 9.3194 9.3194 13.9115 Å, 90.00 90.00 120.00°
Space group R-3m (No. 166, hexagonal axes)
Unique sites:
Pm 0.0000 0.0000 0.1446
U 0.0000 0.0000 0.4138
Pt 0.0000 0.3189 0.5000
Pt 0.0000 0.5000 0.0000
Pt 0.0012 0.5006 0.6591

---

[10]
This entry pairs a crystal structure of RbTaTe4 with its simulated powder diffraction line list. Radiation: Cu Kα X-rays. Structure: a DFT-relaxed cell (GGA-PBE, Alexandria).

Most intense lines, 2θ from 10° to 90°, in order of falling intensity:
2θ = 11.14°, I 100.0; 2θ = 11.40°, I 53.2; 2θ = 30.37°, I 32.4; 2θ = 39.00°, I 31.2; 2θ = 33.61°, I 17.1; 2θ = 28.68°, I 16.9; 2θ = 35.26°, I 15.4; 2θ = 39.92°, I 15.3; 2θ = 41.05°, I 12.2; 2θ = 38.34°, I 11.8; 2θ = 32.48°, I 10.8; 2θ = 41.25°, I 10.8

Atomic structure:
Cell: 9.749 15.530 6.222 Å, 90.00 108.55 90.00°
Space group C2/c (No. 15)
Unique sites:
Rb 0.000 0.134 0.250
Ta 0.000 0.499 0.750
Te 0.090 0.355 0.544
Te 0.242 0.435 0.122

---

[11]
This entry pairs a crystal structure of NdMg2Si2Ir with its simulated powder diffraction line list. Radiation: Cu Kα X-rays. Structure: a DFT-relaxed cell (GGA-PBE, Alexandria).

Most intense lines, 2θ from 10° to 90°, in order of falling intensity:
2θ = 30.03°, I 100.0; 2θ = 24.97°, I 82.6; 2θ = 35.60°, I 55.8; 2θ = 16.41°, I 47.5; 2θ = 49.46°, I 38.6; 2θ = 41.97°, I 35.2; 2θ = 33.18°, I 29.7; 2θ = 60.53°, I 27.8; 2θ = 39.44°, I 23.4; 2θ = 57.34°, I 21.2; 2θ = 51.23°, I 19.7; 2θ = 62.41°, I 19.1

Atomic structure:
Cell: 5.043 5.043 10.801 Å, 90.00 90.00 90.00°
Space group I4/mmm (No. 139)
Unique sites:
Nd 0.000 0.000 0.000
Mg 0.000 0.500 0.250
Si 0.000 0.000 0.291
Ir 0.000 0.000 0.500

---

[12]
This entry pairs a crystal structure of DyCdBr6 with its simulated powder diffraction line list. Radiation: Cu Kα X-rays. Structure: a DFT-relaxed cell (GGA-PBE, Alexandria).

Most intense lines, 2θ from 10° to 90°, in order of falling intensity:
2θ = 17.51°, I 100.0; 2θ = 29.33°, I 82.4; 2θ = 45.01°, I 74.0; 2θ = 29.45°, I 70.9; 2θ = 24.12°, I 36.8; 2θ = 38.76°, I 35.7; 2θ = 39.00°, I 35.0; 2θ = 38.88°, I 34.5; 2θ = 31.10°, I 21.0; 2θ = 24.25°, I 19.1; 2θ = 51.51°, I 14.3; 2θ = 40.64°, I 13.8

Atomic structure:
Cell: 6.974 6.977 7.366 Å, 89.93 62.01 60.03°
Space group P-1 (No. 2)
Unique sites:
Dy 0.000 0.000 0.000
Cd 0.000 0.500 0.500
Br 0.173 0.577 0.752
Br 0.173 0.752 0.252
Br 0.499 0.923 0.750